Hg5As2I5: simulated X-ray powder pattern (Cu Kα (λ = 1.5418 Å)), based on the GGA-PBE geometry in Alexandria.
Neutral-atom scattering factors, no anomalous dispersion.

Structural model:
Lattice parameters (Å, degrees): 4.298 11.222 11.824 99.39 91.61 100.99
Space group P-1 (No. 2)
Symmetry-distinct sites (fractional):
Hg (0.000, 0.000, 0.000) [1 per cell]
Hg (0.404, 0.823, 0.238) [2 per cell]
Hg (0.413, 0.812, 0.673) [2 per cell]
As (0.487, 0.982, 0.855) [2 per cell]
I (0.176, 0.347, 0.752) [2 per cell]
I (0.180, 0.358, 0.392) [2 per cell]
I (0.500, 0.000, 0.500) [1 per cell]

The 10 most intense peaks (2θ from 15° to 90°), sorted by position:
two_theta	I_rel	h k l
15.2	92	0 0 2
18.5	98	0 1 2
20.4	100	0 2 -2
21.1	87	1 0 0
22.9	87	0 1 -3
24.3	65	0 2 2
29.2	79	1 -3 0
29.3	80	1 2 0
34.5	65	-1 2 3
42.1	84	2 -1 0